Entry 1:
Starting from the PBE geometry in Alexandria, the powder X-ray diffraction pattern of PrTh4Se5 was computed for λ = 1.5418 Å (Cu Kα).

Principal peaks in the range 5° ≤ 2θ ≤ 70°, low angle first:
- 3.449 Å, 25.8 deg, I 19
- 3.433 Å, 26.0 deg, I 18
- 2.980 Å, 30.0 deg, I 100
- 2.114 Å, 42.8 deg, I 13
- 2.107 Å, 42.9 deg, I 51
- 2.099 Å, 43.1 deg, I 12
- 1.800 Å, 50.7 deg, I 10
- 1.725 Å, 53.1 deg, I 14
- 1.716 Å, 53.4 deg, I 13
- 1.490 Å, 62.3 deg, I 13

```
data_PrTh4Se5
_chemical_formula_sum 'Pr1 Th4 Se5'
_space_group_name_H-M_alt 'P 1'
_space_group_IT_number 1
_cell_length_a 11.114
_cell_length_b 11.114
_cell_length_c 11.114
_cell_angle_alpha 158.07
_cell_angle_beta 148.89
_cell_angle_gamma 38.39
loop_
_space_group_symop_operation_xyz
'x,y,z'
loop_
_atom_site_label
_atom_site_type_symbol
_atom_site_fract_x
_atom_site_fract_y
_atom_site_fract_z
_atom_site_occupancy
Pr1 Pr 0.000 0.000 0.000 1
Th1 Th 0.202 0.202 0.000 1
Th2 Th 0.400 0.400 0.000 1
Th3 Th 0.600 0.600 0.000 1
Th4 Th 0.798 0.798 0.000 1
Se1 Se 0.101 0.601 0.500 1
Se2 Se 0.301 0.801 0.500 1
Se3 Se 0.500 0.000 0.500 1
Se4 Se 0.699 0.199 0.500 1
Se5 Se 0.899 0.399 0.500 1
```

***

Entry 2:
Starting from the PBE geometry in Alexandria, the powder X-ray diffraction pattern of Pr4ThSe7 was computed for λ = 1.5418 Å (Cu Kα).

Principal peaks in the range 5° ≤ 2θ ≤ 70°, low angle first:
- 4.042 Å, 22.0 deg, I 79
- 3.951 Å, 22.5 deg, I 96
- 3.086 Å, 28.9 deg, I 95
- 2.937 Å, 30.4 deg, I 100
- 2.847 Å, 31.4 deg, I 63
- 2.502 Å, 35.9 deg, I 49
- 2.329 Å, 38.7 deg, I 48
- 2.146 Å, 42.1 deg, I 48
- 2.082 Å, 43.5 deg, I 49
- 2.071 Å, 43.7 deg, I 54

```
data_Pr4ThSe7
_chemical_formula_sum 'Pr4 Th1 Se7'
_space_group_name_H-M_alt 'P 1'
_space_group_IT_number 1
_cell_length_a 7.298
_cell_length_b 7.298
_cell_length_c 12.568
_cell_angle_alpha 104.07
_cell_angle_beta 104.07
_cell_angle_gamma 32.97
loop_
_space_group_symop_operation_xyz
'x,y,z'
loop_
_atom_site_label
_atom_site_type_symbol
_atom_site_fract_x
_atom_site_fract_y
_atom_site_fract_z
_atom_site_occupancy
Pr1 Pr 0.000 0.000 0.000 1
Pr2 Pr 0.187 0.187 0.763 1
Pr3 Pr 0.589 0.589 0.394 1
Pr4 Pr 0.886 0.886 0.576 1
Th1 Th 0.772 0.772 0.154 1
Se1 Se 0.149 0.149 0.228 1
Se2 Se 0.227 0.227 0.527 1
Se3 Se 0.385 0.385 0.078 1
Se4 Se 0.547 0.547 0.627 1
Se5 Se 0.632 0.632 0.930 1
Se6 Se 0.845 0.845 0.793 1
Se7 Se 0.927 0.927 0.357 1
```

***

Entry 3:
Starting from the PBE geometry in Alexandria, the powder X-ray diffraction pattern of Pr2TmTh3Se6 was computed for λ = 1.5418 Å (Cu Kα).

Principal peaks in the range 5° ≤ 2θ ≤ 70°, low angle first:
- 3.537 Å, 25.2 deg, I 10
- 3.396 Å, 26.2 deg, I 15
- 2.964 Å, 30.1 deg, I 100
- 2.135 Å, 42.3 deg, I 27
- 2.122 Å, 42.6 deg, I 13
- 2.072 Å, 43.7 deg, I 12
- 2.059 Å, 44.0 deg, I 24
- 1.698 Å, 54.0 deg, I 13
- 1.482 Å, 62.7 deg, I 12
- 1.345 Å, 69.9 deg, I 13

```
data_Pr2TmTh3Se6
_chemical_formula_sum 'Pr2 Tm1 Th3 Se6'
_space_group_name_H-M_alt 'P 1'
_space_group_IT_number 1
_cell_length_a 9.489
_cell_length_b 9.489
_cell_length_c 8.499
_cell_angle_alpha 105.83
_cell_angle_beta 105.83
_cell_angle_gamma 25.22
loop_
_space_group_symop_operation_xyz
'x,y,z'
loop_
_atom_site_label
_atom_site_type_symbol
_atom_site_fract_x
_atom_site_fract_y
_atom_site_fract_z
_atom_site_occupancy
Pr1 Pr 0.166 0.166 0.333 1
Pr2 Pr 0.834 0.834 0.667 1
Tm1 Tm 0.500 0.500 0.000 1
Th1 Th 0.170 0.170 0.835 1
Th2 Th 0.500 0.500 0.500 1
Th3 Th 0.830 0.830 0.165 1
Se1 Se 0.003 0.003 0.765 1
Se2 Se 0.333 0.333 0.416 1
Se3 Se 0.340 0.340 0.922 1
Se4 Se 0.660 0.660 0.078 1
Se5 Se 0.667 0.667 0.584 1
Se6 Se 0.997 0.997 0.235 1
```

***

Entry 4:
Starting from the PBE geometry in Alexandria, the powder X-ray diffraction pattern of Pr4YTh3Se8 was computed for λ = 1.5418 Å (Cu Kα).

Principal peaks in the range 5° ≤ 2θ ≤ 70°, low angle first:
- 3.469 Å, 25.7 deg, I 6
- 3.438 Å, 25.9 deg, I 17
- 2.984 Å, 29.9 deg, I 100
- 2.117 Å, 42.7 deg, I 38
- 2.103 Å, 43.0 deg, I 37
- 1.807 Å, 50.5 deg, I 3
- 1.798 Å, 50.8 deg, I 6
- 1.735 Å, 52.8 deg, I 7
- 1.719 Å, 53.3 deg, I 20
- 1.492 Å, 62.2 deg, I 12

```
data_Pr4YTh3Se8
_chemical_formula_sum 'Pr4 Y1 Th3 Se8'
_space_group_name_H-M_alt 'P 1'
_space_group_IT_number 1
_cell_length_a 8.469
_cell_length_b 8.469
_cell_length_c 8.469
_cell_angle_alpha 59.54
_cell_angle_beta 59.54
_cell_angle_gamma 59.54
loop_
_space_group_symop_operation_xyz
'x,y,z'
loop_
_atom_site_label
_atom_site_type_symbol
_atom_site_fract_x
_atom_site_fract_y
_atom_site_fract_z
_atom_site_occupancy
Pr1 Pr 0.000 0.000 0.000 1
Pr2 Pr 0.000 0.500 0.500 1
Pr3 Pr 0.500 0.000 0.500 1
Pr4 Pr 0.500 0.500 0.000 1
Y1 Y 0.500 0.500 0.500 1
Th1 Th 0.000 0.000 0.500 1
Th2 Th 0.000 0.500 0.000 1
Th3 Th 0.500 0.000 0.000 1
Se1 Se 0.249 0.249 0.249 1
Se2 Se 0.253 0.745 0.745 1
Se3 Se 0.255 0.255 0.747 1
Se4 Se 0.255 0.747 0.255 1
Se5 Se 0.745 0.253 0.745 1
Se6 Se 0.745 0.745 0.253 1
Se7 Se 0.747 0.255 0.255 1
Se8 Se 0.751 0.751 0.751 1
```

***

Entry 5:
Starting from the PBE geometry in Alexandria, the powder X-ray diffraction pattern of Pr6TlSe4 was computed for λ = 1.5418 Å (Cu Kα).

Principal peaks in the range 5° ≤ 2θ ≤ 70°, low angle first:
- 3.230 Å, 27.6 deg, I 70
- 3.130 Å, 28.5 deg, I 39
- 3.037 Å, 29.4 deg, I 100
- 2.899 Å, 30.8 deg, I 32
- 2.259 Å, 39.9 deg, I 30
- 2.175 Å, 41.5 deg, I 24
- 2.168 Å, 41.7 deg, I 25
- 2.121 Å, 42.6 deg, I 31
- 2.077 Å, 43.6 deg, I 25
- 1.773 Å, 51.5 deg, I 30

```
data_Pr6TlSe4
_chemical_formula_sum 'Pr12 Tl2 Se8'
_space_group_name_H-M_alt 'P 1'
_space_group_IT_number 1
_cell_length_a 7.429
_cell_length_b 7.429
_cell_length_c 21.743
_cell_angle_alpha 90.00
_cell_angle_beta 90.00
_cell_angle_gamma 146.82
loop_
_space_group_symop_operation_xyz
'x,y,z'
loop_
_atom_site_label
_atom_site_type_symbol
_atom_site_fract_x
_atom_site_fract_y
_atom_site_fract_z
_atom_site_occupancy
Pr1 Pr 0.000 0.000 0.000 1
Pr2 Pr 0.000 0.000 0.500 1
Pr3 Pr 0.163 0.837 0.750 1
Pr4 Pr 0.272 0.728 0.083 1
Pr5 Pr 0.272 0.728 0.417 1
Pr6 Pr 0.456 0.544 0.662 1
Pr7 Pr 0.456 0.544 0.838 1
Pr8 Pr 0.544 0.456 0.162 1
Pr9 Pr 0.544 0.456 0.338 1
Pr10 Pr 0.728 0.272 0.583 1
Pr11 Pr 0.728 0.272 0.917 1
Pr12 Pr 0.837 0.163 0.250 1
Tl1 Tl 0.166 0.834 0.250 1
Tl2 Tl 0.834 0.166 0.750 1
Se1 Se 0.091 0.909 0.624 1
Se2 Se 0.091 0.909 0.876 1
Se3 Se 0.363 0.637 0.541 1
Se4 Se 0.363 0.637 0.959 1
Se5 Se 0.637 0.363 0.041 1
Se6 Se 0.637 0.363 0.459 1
Se7 Se 0.909 0.091 0.124 1
Se8 Se 0.909 0.091 0.376 1
```

***

Entry 6:
Starting from the PBE geometry in Alexandria, the powder X-ray diffraction pattern of Pr5TlSe4 was computed for λ = 1.5418 Å (Cu Kα).

Principal peaks in the range 5° ≤ 2θ ≤ 70°, low angle first:
- 6.858 Å, 12.9 deg, I 3
- 5.172 Å, 17.1 deg, I 3
- 3.537 Å, 25.2 deg, I 7
- 3.064 Å, 29.1 deg, I 100
- 2.166 Å, 41.7 deg, I 76
- 1.769 Å, 51.7 deg, I 27
- 1.533 Å, 60.4 deg, I 8
- 1.528 Å, 60.6 deg, I 4
- 1.371 Å, 68.4 deg, I 23
- 1.368 Å, 68.6 deg, I 12

```
data_Pr5TlSe4
_chemical_formula_sum 'Pr5 Tl1 Se4'
_space_group_name_H-M_alt 'P 1'
_space_group_IT_number 1
_cell_length_a 7.508
_cell_length_b 7.508
_cell_length_c 7.508
_cell_angle_alpha 99.54
_cell_angle_beta 99.54
_cell_angle_gamma 131.95
loop_
_space_group_symop_operation_xyz
'x,y,z'
loop_
_atom_site_label
_atom_site_type_symbol
_atom_site_fract_x
_atom_site_fract_y
_atom_site_fract_z
_atom_site_occupancy
Pr1 Pr 0.000 0.000 0.000 1
Pr2 Pr 0.192 0.601 0.793 1
Pr3 Pr 0.399 0.192 0.592 1
Pr4 Pr 0.601 0.808 0.408 1
Pr5 Pr 0.808 0.399 0.207 1
Tl1 Tl 0.500 0.500 0.000 1
Se1 Se 0.103 0.299 0.402 1
Se2 Se 0.299 0.897 0.197 1
Se3 Se 0.701 0.103 0.803 1
Se4 Se 0.897 0.701 0.598 1
```

***

Entry 7:
Starting from the PBE geometry in Alexandria, the powder X-ray diffraction pattern of PrTl5Se4 was computed for λ = 1.5418 Å (Cu Kα).

Principal peaks in the range 5° ≤ 2θ ≤ 70°, low angle first:
- 3.826 Å, 23.2 deg, I 22
- 3.532 Å, 25.2 deg, I 44
- 3.235 Å, 27.6 deg, I 35
- 3.078 Å, 29.0 deg, I 100
- 2.977 Å, 30.0 deg, I 30
- 2.285 Å, 39.4 deg, I 22
- 2.193 Å, 41.2 deg, I 23
- 2.160 Å, 41.8 deg, I 14
- 2.019 Å, 44.9 deg, I 25
- 1.765 Å, 51.8 deg, I 19

```
data_PrTl5Se4
_chemical_formula_sum 'Pr1 Tl5 Se4'
_space_group_name_H-M_alt 'P 1'
_space_group_IT_number 1
_cell_length_a 9.937
_cell_length_b 9.937
_cell_length_c 8.774
_cell_angle_alpha 112.26
_cell_angle_beta 112.26
_cell_angle_gamma 25.50
loop_
_space_group_symop_operation_xyz
'x,y,z'
loop_
_atom_site_label
_atom_site_type_symbol
_atom_site_fract_x
_atom_site_fract_y
_atom_site_fract_z
_atom_site_occupancy
Pr1 Pr 0.000 0.000 0.000 1
Tl1 Tl 0.000 0.000 0.500 1
Tl2 Tl 0.307 0.307 0.686 1
Tl3 Tl 0.347 0.347 0.195 1
Tl4 Tl 0.653 0.653 0.805 1
Tl5 Tl 0.693 0.693 0.314 1
Se1 Se 0.163 0.163 0.051 1
Se2 Se 0.469 0.469 0.746 1
Se3 Se 0.531 0.531 0.254 1
Se4 Se 0.837 0.837 0.949 1
```

***

Entry 8:
Starting from the PBE geometry in Alexandria, the powder X-ray diffraction pattern of PrTl4Se4 was computed for λ = 1.5418 Å (Cu Kα).

Principal peaks in the range 5° ≤ 2θ ≤ 70°, low angle first:
- 3.672 Å, 24.2 deg, I 20
- 3.605 Å, 24.7 deg, I 42
- 3.391 Å, 26.3 deg, I 16
- 3.169 Å, 28.2 deg, I 62
- 3.047 Å, 29.3 deg, I 100
- 2.268 Å, 39.8 deg, I 42
- 2.191 Å, 41.2 deg, I 23
- 2.131 Å, 42.4 deg, I 39
- 2.119 Å, 42.7 deg, I 12
- 1.802 Å, 50.6 deg, I 25

```
data_PrTl4Se4
_chemical_formula_sum 'Pr1 Tl4 Se4'
_space_group_name_H-M_alt 'P 1'
_space_group_IT_number 1
_cell_length_a 7.690
_cell_length_b 7.690
_cell_length_c 10.175
_cell_angle_alpha 114.86
_cell_angle_beta 114.86
_cell_angle_gamma 33.11
loop_
_space_group_symop_operation_xyz
'x,y,z'
loop_
_atom_site_label
_atom_site_type_symbol
_atom_site_fract_x
_atom_site_fract_y
_atom_site_fract_z
_atom_site_occupancy
Pr1 Pr 0.000 0.000 0.000 1
Tl1 Tl 0.216 0.216 0.796 1
Tl2 Tl 0.411 0.411 0.585 1
Tl3 Tl 0.589 0.589 0.415 1
Tl4 Tl 0.784 0.784 0.204 1
Se1 Se 0.172 0.172 0.303 1
Se2 Se 0.402 0.402 0.092 1
Se3 Se 0.598 0.598 0.908 1
Se4 Se 0.828 0.828 0.697 1
```

***

Entry 9:
Starting from the PBE geometry in Alexandria, the powder X-ray diffraction pattern of Pr2Tl3VSe6 was computed for λ = 1.5418 Å (Cu Kα).

Principal peaks in the range 5° ≤ 2θ ≤ 70°, low angle first:
- 3.853 Å, 23.1 deg, I 14
- 3.448 Å, 25.8 deg, I 25
- 3.071 Å, 29.1 deg, I 52
- 3.060 Å, 29.2 deg, I 100
- 2.847 Å, 31.4 deg, I 15
- 2.257 Å, 39.9 deg, I 56
- 2.088 Å, 43.3 deg, I 34
- 2.080 Å, 43.5 deg, I 16
- 1.722 Å, 53.2 deg, I 17
- 1.416 Å, 66.0 deg, I 13

```
data_Pr2Tl3VSe6
_chemical_formula_sum 'Pr2 Tl3 V1 Se6'
_space_group_name_H-M_alt 'P 1'
_space_group_IT_number 1
_cell_length_a 7.216
_cell_length_b 7.216
_cell_length_c 8.079
_cell_angle_alpha 98.66
_cell_angle_beta 98.66
_cell_angle_gamma 119.75
loop_
_space_group_symop_operation_xyz
'x,y,z'
loop_
_atom_site_label
_atom_site_type_symbol
_atom_site_fract_x
_atom_site_fract_y
_atom_site_fract_z
_atom_site_occupancy
Pr1 Pr 0.166 0.834 0.000 1
Pr2 Pr 0.834 0.166 0.000 1
Tl1 Tl 0.000 0.000 0.500 1
Tl2 Tl 0.326 0.674 0.500 1
Tl3 Tl 0.674 0.326 0.500 1
V1 V 0.500 0.500 0.000 1
Se1 Se 0.134 0.433 0.800 1
Se2 Se 0.269 0.269 0.211 1
Se3 Se 0.433 0.134 0.800 1
Se4 Se 0.567 0.866 0.200 1
Se5 Se 0.731 0.731 0.789 1
Se6 Se 0.866 0.567 0.200 1
```

***

Entry 10:
Starting from the PBE geometry in Alexandria, the powder X-ray diffraction pattern of PrTm4Se6 was computed for λ = 1.5418 Å (Cu Kα).

Principal peaks in the range 5° ≤ 2θ ≤ 70°, low angle first:
- 3.502 Å, 25.4 deg, I 54
- 3.052 Å, 29.3 deg, I 32
- 2.935 Å, 30.5 deg, I 46
- 2.850 Å, 31.4 deg, I 100
- 2.723 Å, 32.9 deg, I 69
- 2.693 Å, 33.3 deg, I 35
- 2.140 Å, 42.2 deg, I 40
- 2.031 Å, 44.6 deg, I 37
- 2.002 Å, 45.3 deg, I 39
- 1.947 Å, 46.7 deg, I 39

```
data_PrTm4Se6
_chemical_formula_sum 'Pr2 Tm8 Se12'
_space_group_name_H-M_alt 'P 1'
_space_group_IT_number 1
_cell_length_a 6.916
_cell_length_b 6.916
_cell_length_c 20.633
_cell_angle_alpha 90.00
_cell_angle_beta 90.00
_cell_angle_gamma 146.35
loop_
_space_group_symop_operation_xyz
'x,y,z'
loop_
_atom_site_label
_atom_site_type_symbol
_atom_site_fract_x
_atom_site_fract_y
_atom_site_fract_z
_atom_site_occupancy
Pr1 Pr 0.154 0.846 0.750 1
Pr2 Pr 0.846 0.154 0.250 1
Tm1 Tm 0.091 0.909 0.125 1
Tm2 Tm 0.091 0.909 0.375 1
Tm3 Tm 0.360 0.640 0.037 1
Tm4 Tm 0.360 0.640 0.463 1
Tm5 Tm 0.640 0.360 0.537 1
Tm6 Tm 0.640 0.360 0.963 1
Tm7 Tm 0.909 0.091 0.625 1
Tm8 Tm 0.909 0.091 0.875 1
Se1 Se 0.000 0.000 0.000 1
Se2 Se 0.000 0.000 0.500 1
Se3 Se 0.179 0.821 0.250 1
Se4 Se 0.267 0.733 0.590 1
Se5 Se 0.267 0.733 0.910 1
Se6 Se 0.452 0.548 0.163 1
Se7 Se 0.452 0.548 0.337 1
Se8 Se 0.548 0.452 0.663 1
Se9 Se 0.548 0.452 0.837 1
Se10 Se 0.733 0.267 0.090 1
Se11 Se 0.733 0.267 0.410 1
Se12 Se 0.821 0.179 0.750 1
```

***

Entry 11:
Starting from the PBE geometry in Alexandria, the powder X-ray diffraction pattern of Pr5TmSe8 was computed for λ = 1.5418 Å (Cu Kα).

Principal peaks in the range 5° ≤ 2θ ≤ 70°, low angle first:
- 3.673 Å, 24.2 deg, I 13
- 3.645 Å, 24.4 deg, I 30
- 2.855 Å, 31.3 deg, I 54
- 2.818 Å, 31.7 deg, I 100
- 2.403 Å, 37.4 deg, I 35
- 2.391 Å, 37.6 deg, I 34
- 2.383 Å, 37.8 deg, I 31
- 1.992 Å, 45.5 deg, I 15
- 1.911 Å, 47.6 deg, I 16
- 1.446 Å, 64.4 deg, I 21

```
data_Pr5TmSe8
_chemical_formula_sum 'Pr5 Tm1 Se8'
_space_group_name_H-M_alt 'P 1'
_space_group_IT_number 1
_cell_length_a 7.753
_cell_length_b 7.753
_cell_length_c 7.753
_cell_angle_alpha 109.88
_cell_angle_beta 109.88
_cell_angle_gamma 108.65
loop_
_space_group_symop_operation_xyz
'x,y,z'
loop_
_atom_site_label
_atom_site_type_symbol
_atom_site_fract_x
_atom_site_fract_y
_atom_site_fract_z
_atom_site_occupancy
Pr1 Pr 0.000 0.000 0.000 1
Pr2 Pr 0.126 0.494 0.867 1
Pr3 Pr 0.506 0.372 0.632 1
Pr4 Pr 0.628 0.259 0.133 1
Pr5 Pr 0.741 0.874 0.368 1
Tm1 Tm 0.250 0.750 0.500 1
Se1 Se 0.028 0.276 0.401 1
Se2 Se 0.226 0.111 0.743 1
Se3 Se 0.368 0.484 0.257 1
Se4 Se 0.374 0.972 0.249 1
Se5 Se 0.516 0.774 0.884 1
Se6 Se 0.724 0.125 0.751 1
Se7 Se 0.875 0.626 0.599 1
Se8 Se 0.889 0.632 0.116 1
```

***

Entry 12:
Starting from the PBE geometry in Alexandria, the powder X-ray diffraction pattern of Pr4TmSe5 was computed for λ = 1.5418 Å (Cu Kα).

Principal peaks in the range 5° ≤ 2θ ≤ 70°, low angle first:
- 17.384 Å, 5.1 deg, I 3
- 3.477 Å, 25.6 deg, I 5
- 3.433 Å, 26.0 deg, I 13
- 2.982 Å, 30.0 deg, I 100
- 2.119 Å, 42.7 deg, I 36
- 2.099 Å, 43.1 deg, I 37
- 1.797 Å, 50.8 deg, I 4
- 1.738 Å, 52.7 deg, I 6
- 1.716 Å, 53.4 deg, I 20
- 1.491 Å, 62.3 deg, I 12

```
data_Pr4TmSe5
_chemical_formula_sum 'Pr4 Tm1 Se5'
_space_group_name_H-M_alt 'P 1'
_space_group_IT_number 1
_cell_length_a 17.552
_cell_length_b 17.552
_cell_length_c 17.552
_cell_angle_alpha 13.74
_cell_angle_beta 13.74
_cell_angle_gamma 13.74
loop_
_space_group_symop_operation_xyz
'x,y,z'
loop_
_atom_site_label
_atom_site_type_symbol
_atom_site_fract_x
_atom_site_fract_y
_atom_site_fract_z
_atom_site_occupancy
Pr1 Pr 0.102 0.102 0.102 1
Pr2 Pr 0.299 0.299 0.299 1
Pr3 Pr 0.701 0.701 0.701 1
Pr4 Pr 0.898 0.898 0.898 1
Tm1 Tm 0.500 0.500 0.500 1
Se1 Se 0.000 0.000 0.000 1
Se2 Se 0.196 0.196 0.196 1
Se3 Se 0.402 0.402 0.402 1
Se4 Se 0.598 0.598 0.598 1
Se5 Se 0.804 0.804 0.804 1
```

***

Entry 13:
Starting from the PBE geometry in Alexandria, the powder X-ray diffraction pattern of Pr2TmSe4 was computed for λ = 1.5418 Å (Cu Kα).

Principal peaks in the range 5° ≤ 2θ ≤ 70°, low angle first:
- 6.399 Å, 13.8 deg, I 18
- 3.567 Å, 25.0 deg, I 55
- 3.514 Å, 25.3 deg, I 38
- 2.767 Å, 32.4 deg, I 100
- 2.566 Å, 35.0 deg, I 39
- 2.328 Å, 38.7 deg, I 27
- 2.148 Å, 42.1 deg, I 32
- 2.007 Å, 45.2 deg, I 34
- 1.808 Å, 50.5 deg, I 21
- 1.383 Å, 67.7 deg, I 18

```
data_Pr2TmSe4
_chemical_formula_sum 'Pr4 Tm2 Se8'
_space_group_name_H-M_alt 'P 1'
_space_group_IT_number 1
_cell_length_a 7.591
_cell_length_b 11.894
_cell_length_c 4.297
_cell_angle_alpha 90.00
_cell_angle_beta 90.00
_cell_angle_gamma 90.00
loop_
_space_group_symop_operation_xyz
'x,y,z'
loop_
_atom_site_label
_atom_site_type_symbol
_atom_site_fract_x
_atom_site_fract_y
_atom_site_fract_z
_atom_site_occupancy
Pr1 Pr 0.104 0.186 0.000 1
Pr2 Pr 0.396 0.686 0.000 1
Pr3 Pr 0.604 0.314 0.000 1
Pr4 Pr 0.896 0.814 0.000 1
Tm1 Tm 0.000 0.500 0.500 1
Tm2 Tm 0.500 0.000 0.500 1
Se1 Se 0.126 0.719 0.500 1
Se2 Se 0.240 0.449 0.000 1
Se3 Se 0.260 0.949 0.000 1
Se4 Se 0.374 0.219 0.500 1
Se5 Se 0.626 0.781 0.500 1
Se6 Se 0.740 0.051 0.000 1
Se7 Se 0.760 0.551 0.000 1
Se8 Se 0.874 0.281 0.500 1
```